Theoretical PXRD pattern of LiFeOF2 for a wavelength of 1.5418 Å, from a DFT-relaxed cell (GGA+U, the Materials Project).
Peak positions follow from Bragg's law for the DFT cell and can differ from measured ones.

Cell: 9.8296 8.9665 5.2802 Å, 90.00 98.81 90.00°
Space group C2/c (No. 15)
One atom of each set of equivalent atoms:
Li1 0.1914 0.0886 0.3228 (multiplicity 8)
Fe1 0.0000 0.2422 0.7500 (multiplicity 4)
Fe2 0.0000 0.4271 0.2500 (multiplicity 4)
O1 0.1041 0.4081 0.6088 (multiplicity 8)
F1 0.1102 0.2502 0.1099 (multiplicity 8)
F2 0.1236 0.0890 0.6444 (multiplicity 8)

Peak list (10 most intense, 15 to 90 degrees two-theta, by intensity)
two_theta	d/Å	I_rel	index
18.27	4.857	100	2 0 0
42.99	2.104	55	3 3 -1
35.13	2.555	31	1 3 -1
41.73	2.164	30	2 0 2
61.12	1.516	19	1 3 -3
29.33	3.045	18	3 1 0
34.37	2.609	17	0 0 2
61.81	1.501	17	5 3 1
26.21	3.400	14	0 2 1
57.03	1.615	13	5 3 -1



Theoretical PXRD pattern of CaFeAsF for a wavelength of 1.5418 Å, from a DFT-relaxed cell (GGA+U, the Materials Project).
Peak positions follow from Bragg's law for the DFT cell and can differ from measured ones.

Cell: 4.0566 4.0566 8.8989 Å, 90.00 90.00 90.00°
Space group P4/nmm (No. 129, origin choice 2)
One atom of each set of equivalent atoms:
Ca1 0.2500 0.2500 0.1444 (multiplicity 2)
Fe1 0.2500 0.7500 0.5000 (multiplicity 2)
As1 0.2500 0.2500 0.6775 (multiplicity 2)
F1 0.2500 0.7500 0.0000 (multiplicity 2)

Peak list (10 most intense, 15 to 90 degrees two-theta, by intensity)
two_theta	d/Å	I_rel	index
29.80	2.998	100	1 0 2
37.30	2.411	96	1 1 2
44.68	2.028	59	2 0 0
54.63	1.680	34	2 1 2
52.02	1.758	33	1 1 4
46.56	1.951	24	1 0 4
24.11	3.691	20	1 0 1
43.91	2.062	20	1 1 3
77.43	1.233	19	3 1 2
65.03	1.434	17	2 2 0



Theoretical PXRD pattern of K2HoPWO8 for a wavelength of 1.5418 Å, from a DFT-relaxed cell (GGA+U, the Materials Project).
Peak positions follow from Bragg's law for the DFT cell and can differ from measured ones.

Cell: 6.9533 12.2549 20.0101 Å, 90.00 90.00 90.00°
Space group Ibca (No. 73)
One atom of each set of equivalent atoms:
K1 0.0302 0.0789 0.1565 (multiplicity 16)
Ho1 0.2500 0.1744 0.5000 (multiplicity 8)
P1 0.2500 0.0703 0.0000 (multiplicity 8)
W1 0.0000 0.2500 0.3357 (multiplicity 8)
O1 0.0582 0.1335 0.7844 (multiplicity 16)
O2 0.0768 0.1511 0.0073 (multiplicity 16)
O3 0.2117 0.2193 0.3871 (multiplicity 16)
O4 0.2326 0.0059 0.5612 (multiplicity 16)

Peak list (10 most intense, 15 to 90 degrees two-theta, by intensity)
two_theta	d/Å	I_rel	index
27.15	3.284	100	2 0 2
17.13	5.176	97	1 1 2
26.84	3.322	96	1 3 2
26.73	3.335	84	0 0 6
23.07	3.855	52	1 1 4
31.33	2.855	47	2 0 4
31.05	2.880	43	1 3 4
32.24	2.777	41	1 4 1
30.52	2.929	40	0 2 6
48.10	1.892	39	0 6 4



Theoretical PXRD pattern of Li3Cr2P3O12 for a wavelength of 1.5418 Å, from a DFT-relaxed cell (GGA+U, the Materials Project).
Peak positions follow from Bragg's law for the DFT cell and can differ from measured ones.

Cell: 8.3675 8.3783 8.9804 Å, 62.33 89.99 60.10°
Space group P1 (No. 1)
One atom of each set of equivalent atoms:
Li1 0.0000 0.0000 0.0000 (multiplicity 1)
Li2 0.0593 0.1255 0.2813 (multiplicity 1)
Li3 0.2464 0.3557 0.9918 (multiplicity 1)
Li4 0.4073 0.5357 0.2779 (multiplicity 1)
Li5 0.5829 0.8679 0.7700 (multiplicity 1)
Li6 0.6566 0.8712 0.2785 (multiplicity 1)
Cr1 0.1818 0.2248 0.7074 (multiplicity 1)
Cr2 0.4720 0.6479 0.5755 (multiplicity 1)
Cr3 0.6740 0.2428 0.1847 (multiplicity 1)
Cr4 0.9762 0.6363 0.0986 (multiplicity 1)
P1 0.0758 0.7264 0.3932 (multiplicity 1)
P2 0.2903 0.7250 0.8952 (multiplicity 1)
P3 0.3672 0.1479 0.3871 (multiplicity 1)
P4 0.5790 0.1468 0.8909 (multiplicity 1)
P5 0.7918 0.4337 0.3944 (multiplicity 1)
P6 0.8680 0.4405 0.8905 (multiplicity 1)
O1 0.0744 0.3258 0.8740 (multiplicity 1)
O2 0.1182 0.6883 0.2357 (multiplicity 1)
O3 0.1309 0.5185 0.5615 (multiplicity 1)
O4 0.1550 0.6434 0.9443 (multiplicity 1)
O5 0.1690 0.3046 0.2365 (multiplicity 1)
O6 0.1960 0.9474 0.8803 (multiplicity 1)
O7 0.2037 0.8061 0.4104 (multiplicity 1)
O8 0.3288 0.7467 0.7237 (multiplicity 1)
O9 0.3413 0.1194 0.5646 (multiplicity 1)
O10 0.4560 0.0680 0.8621 (multiplicity 1)
O11 0.4612 0.9261 0.4020 (multiplicity 1)
O12 0.4827 0.5638 0.0520 (multiplicity 1)
O13 0.4960 0.2358 0.3362 (multiplicity 1)
O14 0.5286 0.3555 0.7259 (multiplicity 1)
O15 0.5346 0.1825 0.0489 (multiplicity 1)
O16 0.5838 0.5459 0.4100 (multiplicity 1)
O17 0.7082 0.5744 0.7189 (multiplicity 1)
O18 0.7965 0.9646 0.9464 (multiplicity 1)
O19 0.8044 0.6240 0.2514 (multiplicity 1)
O20 0.8215 0.2768 0.3339 (multiplicity 1)
O21 0.8373 0.6044 0.9421 (multiplicity 1)
O22 0.8595 0.9113 0.3370 (multiplicity 1)
O23 0.8649 0.2458 0.0432 (multiplicity 1)
O24 0.9420 0.3065 0.5708 (multiplicity 1)

Peak list (10 most intense, 15 to 90 degrees two-theta, by intensity)
two_theta	d/Å	I_rel	index
24.27	3.667	100	-1 1 2
19.83	4.476	70	1 1 -1
31.79	2.815	37	2 1 2
29.24	3.054	33	2 2 2
31.88	2.807	31	-1 1 3
32.90	2.723	18	-2 1 1
29.12	3.067	16	0 2 0
37.20	2.417	15	3 3 1
21.21	4.189	14	-1 1 1
49.78	1.832	12	4 2 2



Theoretical PXRD pattern of MgFe6O10F2 for a wavelength of 1.5418 Å, from a DFT-relaxed cell (GGA+U, the Materials Project).
Peak positions follow from Bragg's law for the DFT cell and can differ from measured ones.

Cell: 5.5228 5.7797 7.7035 Å, 68.12 70.94 68.03°
Space group P1 (No. 1)
One atom of each set of equivalent atoms:
Mg1 0.0000 0.0000 0.0000 (multiplicity 1)
Fe1 0.0742 0.4800 0.5256 (multiplicity 1)
Fe2 0.0860 0.4568 0.0491 (multiplicity 1)
Fe3 0.3790 0.7522 0.6900 (multiplicity 1)
Fe4 0.4166 0.7771 0.2030 (multiplicity 1)
Fe5 0.6294 0.0733 0.7599 (multiplicity 1)
Fe6 0.7038 0.1133 0.3459 (multiplicity 1)
O1 0.0881 0.0901 0.1933 (multiplicity 1)
O2 0.1571 0.5817 0.2327 (multiplicity 1)
O3 0.3119 0.6837 0.4839 (multiplicity 1)
O4 0.3851 0.1562 0.5590 (multiplicity 1)
O5 0.4125 0.8567 0.9196 (multiplicity 1)
O6 0.4234 0.3873 0.8507 (multiplicity 1)
O7 0.6316 0.9906 0.1724 (multiplicity 1)
O8 0.7079 0.4713 0.1880 (multiplicity 1)
O9 0.7583 0.7773 0.5537 (multiplicity 1)
O10 0.9856 0.8119 0.8427 (multiplicity 1)
F1 0.8576 0.2522 0.5330 (multiplicity 1)
F2 0.9634 0.3441 0.8177 (multiplicity 1)

Peak list (10 most intense, 15 to 90 degrees two-theta, by intensity)
two_theta	d/Å	I_rel	index
28.27	3.157	100	1 -1 0
34.38	2.608	74	1 0 -2
25.32	3.517	57	1 1 2
35.13	2.554	32	2 1 0
34.98	2.565	28	0 1 -2
59.78	1.547	23	2 2 -2
58.47	1.579	20	2 -2 0
40.18	2.244	18	1 2 3
53.68	1.708	17	-2 1 2
19.42	4.570	17	1 0 1